Starting from a cell relaxed with GGA+U, the X-ray powder pattern of TbTmV2O8 was calculated for Cu Kα X-rays.
Kinematic intensities with the Lorentz-polarization factor, no thermal factor.

abc: 5.985 5.985 5.985
angles: 106.27 106.27 116.09
Element x y z (fractional)
1 Tb 0.000 0.000 0.000
2 Tm 0.750 0.250 0.500
3 V 0.250 0.750 0.500
4 V 0.500 0.500 0.000
5 O 0.072 0.388 0.316
6 O 0.072 0.755 0.684
7 O 0.138 0.325 0.813
8 O 0.245 0.928 0.316
9 O 0.512 0.325 0.187
10 O 0.612 0.928 0.684
11 O 0.675 0.488 0.813
12 O 0.675 0.862 0.187

Principal peaks in the range 2θ = 15–90°, low angle first:
Position (°2θ)	I_rel
18.68	44
24.80	100
33.34	71
35.35	22
40.28	15
49.38	60
50.86	16
62.18	17